Theoretical powder diffraction line list of Pr3InNi for λ = 1.5418 Å (Cu Kα), from DFT lattice parameters and positions (GGA-PBE).

Atomic structure:
```
Pr3InNi
1.0
7.818 0.000 0.000
-3.909 6.770 0.000
0.000 0.000 5.451
Pr In Ni
6 2 2
Direct
0.182 0.364 0.250 Pr
0.182 0.818 0.250 Pr
0.364 0.182 0.750 Pr
0.636 0.818 0.250 Pr
0.818 0.182 0.750 Pr
0.818 0.636 0.750 Pr
0.333 0.667 0.750 In
0.667 0.333 0.250 In
0.000 0.000 0.000 Ni
0.000 0.000 0.500 Ni
```

Peak list (6 most intense, 2θ from 15° to 90°, by angle)
2θ = 31.10°, intensity 100; 2θ = 32.86°, intensity 16; 2θ = 42.59°, intensity 22; 2θ = 46.46°, intensity 25; 2θ = 56.97°, intensity 15; 2θ = 57.57°, intensity 17

***

Theoretical powder diffraction line list of Zr6TeBr12 for λ = 1.5418 Å (Cu Kα), from DFT lattice parameters and positions (GGA-PBE).

Atomic structure:
```
Zr6TeBr12
1.0
6.864 3.963 3.835
-6.864 3.963 3.835
0.000 -7.926 3.835
Zr Te Br
6 1 12
Direct
0.143 0.377 0.377 Zr
0.377 0.143 0.377 Zr
0.377 0.377 0.143 Zr
0.623 0.623 0.857 Zr
0.623 0.857 0.623 Zr
0.857 0.623 0.623 Zr
0.500 0.500 0.500 Te
0.000 0.371 0.629 Br
0.000 0.629 0.371 Br
0.059 0.059 0.324 Br
0.059 0.324 0.059 Br
0.324 0.059 0.059 Br
0.371 0.000 0.629 Br
0.371 0.629 0.000 Br
0.629 0.000 0.371 Br
0.629 0.371 0.000 Br
0.676 0.941 0.941 Br
0.941 0.676 0.941 Br
0.941 0.941 0.676 Br
```

Peak list (6 most intense, 2θ from 15° to 90°, by angle)
2θ = 17.12°, intensity 85; 2θ = 31.27°, intensity 100; 2θ = 32.49°, intensity 43; 2θ = 34.60°, intensity 44; 2θ = 41.08°, intensity 71; 2θ = 42.05°, intensity 48

***

Theoretical powder diffraction line list of PmSm2Al2Zn2 for λ = 1.5418 Å (Cu Kα), from DFT lattice parameters and positions (GGA-PBE).

Atomic structure:
```
PmSm2Al2Zn2
1.0
2.279 1.316 9.325
-2.279 1.316 9.325
0.000 -2.632 9.325
Pm Sm Al Zn
1 2 2 2
Direct
0.000 0.000 0.000 Pm
0.128 0.128 0.128 Sm
0.872 0.872 0.872 Sm
0.264 0.264 0.264 Al
0.736 0.736 0.736 Al
0.400 0.400 0.400 Zn
0.600 0.600 0.600 Zn
```

Peak list (6 most intense, 2θ from 15° to 90°, by angle)
2θ = 22.75°, intensity 51; 2θ = 25.92°, intensity 31; 2θ = 31.86°, intensity 85; 2θ = 34.26°, intensity 91; 2θ = 39.54°, intensity 100; 2θ = 64.57°, intensity 38

***

Theoretical powder diffraction line list of Pa4GaTc4 for λ = 1.5418 Å (Cu Kα), from DFT lattice parameters and positions (GGA-PBE).

Atomic structure:
```
Pa4GaTc4
1.0
8.144 0.000 0.000
0.000 8.144 0.000
0.000 0.000 5.811
Pa Ga Tc
8 2 8
Direct
0.037 0.250 0.054 Pa
0.250 0.037 0.554 Pa
0.250 0.463 0.554 Pa
0.463 0.250 0.054 Pa
0.537 0.750 0.946 Pa
0.750 0.537 0.446 Pa
0.750 0.963 0.446 Pa
0.963 0.750 0.946 Pa
0.250 0.750 0.250 Ga
0.750 0.250 0.750 Ga
0.007 0.250 0.507 Tc
0.250 0.007 0.007 Tc
0.250 0.493 0.007 Tc
0.493 0.250 0.507 Tc
0.507 0.750 0.493 Tc
0.750 0.507 0.993 Tc
0.750 0.993 0.993 Tc
0.993 0.750 0.493 Tc
```

Peak list (6 most intense, 2θ from 15° to 90°, by angle)
2θ = 26.73°, intensity 35; 2θ = 30.77°, intensity 42; 2θ = 31.06°, intensity 100; 2θ = 44.29°, intensity 71; 2θ = 44.50°, intensity 41; 2θ = 55.08°, intensity 24

***

Theoretical powder diffraction line list of Ac5Hg2Rh2 for λ = 1.5418 Å (Cu Kα), from DFT lattice parameters and positions (GGA-PBE).

Atomic structure:
```
Ac5Hg2Rh2
1.0
8.468 -4.076 0.000
8.468 4.076 0.000
0.000 0.000 8.433
Ac Hg Rh
10 4 4
Direct
0.000 0.000 0.000 Ac
0.044 0.714 0.669 Ac
0.214 0.544 0.169 Ac
0.286 0.956 0.669 Ac
0.456 0.786 0.169 Ac
0.500 0.500 0.500 Ac
0.544 0.214 0.831 Ac
0.714 0.044 0.331 Ac
0.786 0.456 0.831 Ac
0.956 0.286 0.331 Ac
0.213 0.213 0.000 Hg
0.287 0.287 0.500 Hg
0.713 0.713 0.500 Hg
0.787 0.787 0.000 Hg
0.136 0.864 0.366 Rh
0.364 0.636 0.866 Rh
0.636 0.364 0.134 Rh
0.864 0.136 0.634 Rh
```

Peak list (6 most intense, 2θ from 15° to 90°, by angle)
2θ = 28.60°, intensity 34; 2θ = 29.91°, intensity 36; 2θ = 30.48°, intensity 100; 2θ = 32.28°, intensity 51; 2θ = 34.15°, intensity 36; 2θ = 35.10°, intensity 33

***

Theoretical powder diffraction line list of PmMnC2 for λ = 1.5418 Å (Cu Kα), from DFT lattice parameters and positions (GGA-PBE).

Atomic structure:
```
PmMnC2
1.0
3.801 0.000 0.000
0.000 2.325 3.057
0.000 -2.325 3.057
Pm Mn C
1 1 2
Direct
0.000 0.000 0.000 Pm
0.500 0.599 0.599 Mn
0.500 0.134 0.439 C
0.500 0.439 0.134 C
```

Peak list (6 most intense, 2θ from 15° to 90°, by angle)
2θ = 24.05°, intensity 30; 2θ = 29.22°, intensity 22; 2θ = 33.80°, intensity 100; 2θ = 37.76°, intensity 23; 2θ = 38.74°, intensity 17; 2θ = 48.79°, intensity 15

***

Theoretical powder diffraction line list of Pm2NdY4Er2 for λ = 1.5418 Å (Cu Kα), from DFT lattice parameters and positions (GGA-PBE).

Atomic structure:
```
Pm2NdY4Er2
1.0
9.379 -1.812 0.000
9.379 1.812 0.000
-4.167 0.000 8.668
Pm Nd Y Er
2 1 4 2
Direct
0.148 0.148 0.168 Pm
0.852 0.852 0.832 Pm
0.000 0.000 0.500 Nd
0.185 0.185 0.833 Y
0.481 0.481 0.167 Y
0.519 0.519 0.833 Y
0.815 0.815 0.167 Y
0.332 0.332 0.498 Er
0.668 0.668 0.502 Er
```

Peak list (6 most intense, 2θ from 15° to 90°, by angle)
2θ = 28.71°, intensity 47; 2θ = 30.95°, intensity 47; 2θ = 31.71°, intensity 100; 2θ = 33.40°, intensity 86; 2θ = 50.52°, intensity 24; 2θ = 60.43°, intensity 28

***

Theoretical powder diffraction line list of Rb2Ba8MgSb6O2 for λ = 1.5418 Å (Cu Kα), from DFT lattice parameters and positions (GGA-PBE).

Atomic structure:
```
Rb2Ba8MgSb6O2
1.0
9.474 0.000 0.000
-0.707 9.545 0.000
-4.476 -4.140 8.100
Rb Ba Mg Sb O
2 8 1 6 2
Direct
0.000 0.000 0.000 Rb
0.428 0.391 0.883 Rb
0.004 0.468 0.276 Ba
0.182 0.950 0.664 Ba
0.290 0.784 0.286 Ba
0.492 0.305 0.287 Ba
0.499 0.683 0.694 Ba
0.702 0.199 0.699 Ba
0.863 0.096 0.365 Ba
0.980 0.549 0.746 Ba
0.651 0.727 0.186 Mg
0.133 0.352 0.986 Sb
0.266 0.217 0.464 Sb
0.407 0.876 0.021 Sb
0.608 0.093 0.988 Sb
0.739 0.769 0.505 Sb
0.835 0.655 0.031 Sb
0.241 0.721 0.489 O
0.763 0.298 0.521 O
```

Peak list (6 most intense, 2θ from 15° to 90°, by angle)
2θ = 25.73°, intensity 60; 2θ = 26.30°, intensity 61; 2θ = 26.81°, intensity 100; 2θ = 27.15°, intensity 45; 2θ = 29.03°, intensity 54; 2θ = 30.55°, intensity 62